1.
Cd2Ag7Au3: calculated XRD peak list (copper Kα), based on a crystal structure in Alexandria, relaxed with PBE.

Structure:
a b c (Å): 2.919 4.973 16.840
angles (deg): 91.07 94.75 90.14
Positions (direct):
Cd (0.142, 0.296, 0.285)
Cd (0.858, 0.704, 0.715)
Ag (0.073, 0.676, 0.150)
Ag (0.212, 0.908, 0.422)
Ag (0.429, 0.828, 0.857)
Ag (0.500, 0.500, 0.000)
Ag (0.571, 0.172, 0.143)
Ag (0.788, 0.092, 0.578)
Ag (0.927, 0.324, 0.850)
Au (0.000, 0.000, 0.000)
Au (0.286, 0.590, 0.572)
Au (0.714, 0.410, 0.428)

Peak list (8 most intense, 5° ≤ 2θ ≤ 70°, by angle)
- d = 8.390 Å, 10.54 deg, I 47
- d = 4.792 Å, 18.52 deg, I 26
- d = 2.397 Å, 37.53 deg, I 100
- d = 2.350 Å, 38.31 deg, I 95
- d = 2.100 Å, 43.07 deg, I 35
- d = 2.091 Å, 43.27 deg, I 34
- d = 1.980 Å, 45.83 deg, I 26
- d = 1.438 Å, 64.86 deg, I 18


2.
Nb4FeS8: calculated XRD peak list (copper Kα), based on a crystal structure in Alexandria, relaxed with PBE.

Structure:
a b c (Å): 12.902 12.902 5.756
angles (deg): 102.49 102.49 14.92
Positions (direct):
Nb (0.113, 0.113, 0.107)
Nb (0.383, 0.383, 0.378)
Nb (0.617, 0.617, 0.622)
Nb (0.887, 0.887, 0.893)
Fe (0.500, 0.500, 0.500)
S (0.052, 0.052, 0.390)
S (0.178, 0.178, 0.508)
S (0.322, 0.322, 0.986)
S (0.449, 0.449, 0.121)
S (0.551, 0.551, 0.879)
S (0.678, 0.678, 0.014)
S (0.822, 0.822, 0.492)
S (0.948, 0.948, 0.610)

Peak list (8 most intense, 5° ≤ 2θ ≤ 70°, by angle)
- d = 12.485 Å, 7.08 deg, I 87
- d = 6.242 Å, 14.19 deg, I 100
- d = 2.895 Å, 30.89 deg, I 31
- d = 2.818 Å, 31.75 deg, I 21
- d = 2.626 Å, 34.14 deg, I 49
- d = 2.125 Å, 42.55 deg, I 45
- d = 2.119 Å, 42.67 deg, I 50
- d = 1.665 Å, 55.17 deg, I 29


3.
AcAl2PN2: calculated XRD peak list (copper Kα), based on a crystal structure in Alexandria, relaxed with PBE.

Structure:
a b c (Å): 6.171 5.202 7.302
angles (deg): 90.00 107.39 90.00
Positions (direct):
Ac (0.170, 0.250, 0.343)
Ac (0.830, 0.750, 0.657)
Al (0.374, 0.002, 0.795)
Al (0.374, 0.498, 0.795)
Al (0.626, 0.502, 0.205)
Al (0.626, 0.998, 0.205)
P (0.279, 0.750, 0.049)
P (0.721, 0.250, 0.951)
N (0.165, 0.250, 0.680)
N (0.430, 0.750, 0.640)
N (0.570, 0.250, 0.360)
N (0.835, 0.750, 0.320)

Peak list (8 most intense, 5° ≤ 2θ ≤ 70°, by angle)
- d = 4.168 Å, 21.32 deg, I 85
- d = 3.953 Å, 22.49 deg, I 44
- d = 3.899 Å, 22.81 deg, I 70
- d = 3.731 Å, 23.85 deg, I 100
- d = 3.488 Å, 25.53 deg, I 44
- d = 3.060 Å, 29.19 deg, I 38
- d = 2.895 Å, 30.89 deg, I 60
- d = 2.562 Å, 35.02 deg, I 40


4.
PrCd2Pd5: calculated XRD peak list (copper Kα), based on a crystal structure in Alexandria, relaxed with PBE.

Structure:
a b c (Å): 4.268 4.268 8.557
angles (deg): 104.37 104.37 90.02
Positions (direct):
Pr (0.000, 0.000, 0.000)
Cd (0.253, 0.253, 0.505)
Cd (0.747, 0.747, 0.495)
Pd (0.131, 0.631, 0.263)
Pd (0.369, 0.869, 0.737)
Pd (0.500, 0.500, 0.000)
Pd (0.631, 0.131, 0.263)
Pd (0.869, 0.369, 0.737)

Peak list (8 most intense, 5° ≤ 2θ ≤ 70°, by angle)
- d = 2.824 Å, 31.68 deg, I 1
- d = 2.671 Å, 33.56 deg, I 1
- d = 2.411 Å, 37.30 deg, I 100
- d = 2.134 Å, 42.35 deg, I 35
- d = 2.003 Å, 45.28 deg, I 14
- d = 1.509 Å, 61.44 deg, I 11
- d = 1.460 Å, 63.72 deg, I 19
- d = 1.415 Å, 66.03 deg, I 1


5.
V2Cr6Re: calculated XRD peak list (copper Kα), based on a crystal structure in Alexandria, relaxed with PBE.

Structure:
a b c (Å): 4.828 4.828 4.828
angles (deg): 94.96 94.96 94.96
Positions (direct):
V (0.166, 0.166, 0.166)
V (0.834, 0.834, 0.834)
Cr (0.052, 0.387, 0.723)
Cr (0.277, 0.948, 0.613)
Cr (0.387, 0.723, 0.052)
Cr (0.613, 0.277, 0.948)
Cr (0.723, 0.052, 0.387)
Cr (0.948, 0.613, 0.277)
Re (0.500, 0.500, 0.500)

Peak list (8 most intense, 5° ≤ 2θ ≤ 70°, by angle)
- d = 4.788 Å, 18.53 deg, I 39
- d = 3.558 Å, 25.03 deg, I 17
- d = 3.236 Å, 27.56 deg, I 17
- d = 2.856 Å, 31.32 deg, I 13
- d = 2.227 Å, 40.50 deg, I 12
- d = 2.065 Å, 43.85 deg, I 100
- d = 2.054 Å, 44.08 deg, I 94
- d = 1.456 Å, 63.93 deg, I 30


6.
K2Rb6Hg: calculated XRD peak list (copper Kα), based on a crystal structure in Alexandria, relaxed with PBE.

Structure:
a b c (Å): 13.149 13.149 4.968
angles (deg): 100.84 100.84 57.85
Positions (direct):
K (0.135, 0.135, 0.176)
K (0.865, 0.865, 0.824)
Rb (0.162, 0.500, 0.321)
Rb (0.281, 0.719, 0.000)
Rb (0.500, 0.162, 0.321)
Rb (0.500, 0.838, 0.679)
Rb (0.719, 0.281, 0.000)
Rb (0.838, 0.500, 0.679)
Hg (0.500, 0.500, 0.500)

Peak list (8 most intense, 5° ≤ 2θ ≤ 70°, by angle)
- d = 11.240 Å, 7.87 deg, I 24
- d = 11.070 Å, 7.99 deg, I 100
- d = 4.628 Å, 19.18 deg, I 40
- d = 4.239 Å, 20.96 deg, I 25
- d = 3.747 Å, 23.75 deg, I 40
- d = 3.690 Å, 24.12 deg, I 36
- d = 3.470 Å, 25.67 deg, I 86
- d = 3.100 Å, 28.80 deg, I 38


7.
Sm4PuTe5: calculated XRD peak list (copper Kα), based on a crystal structure in Alexandria, relaxed with PBE.

Structure:
a b c (Å): 16.006 16.006 16.006
angles (deg): 164.04 164.04 22.64
Positions (direct):
Sm (0.101, 0.101, 0.000)
Sm (0.301, 0.301, 0.000)
Sm (0.699, 0.699, 0.000)
Sm (0.899, 0.899, 0.000)
Pu (0.500, 0.500, 0.000)
Te (0.000, 0.000, 0.000)
Te (0.201, 0.201, 0.000)
Te (0.401, 0.401, 0.000)
Te (0.599, 0.599, 0.000)
Te (0.799, 0.799, 0.000)

Peak list (8 most intense, 5° ≤ 2θ ≤ 70°, by angle)
- d = 15.695 Å, 5.63 deg, I 4
- d = 3.627 Å, 24.55 deg, I 4
- d = 3.141 Å, 28.42 deg, I 100
- d = 2.221 Å, 40.62 deg, I 77
- d = 1.813 Å, 50.32 deg, I 28
- d = 1.570 Å, 58.80 deg, I 13
- d = 1.405 Å, 66.56 deg, I 24
- d = 1.404 Å, 66.61 deg, I 12


8.
Ba2ThMo2N6: calculated XRD peak list (copper Kα), based on a crystal structure in Alexandria, relaxed with PBE.

Structure:
a b c (Å): 7.306 7.306 7.306
angles (deg): 50.96 50.96 50.96
Positions (direct):
Ba (0.211, 0.211, 0.211)
Ba (0.789, 0.789, 0.789)
Th (0.000, 0.000, 0.000)
Mo (0.429, 0.429, 0.429)
Mo (0.571, 0.571, 0.571)
N (0.248, 0.751, 0.751)
N (0.249, 0.249, 0.752)
N (0.249, 0.752, 0.249)
N (0.751, 0.248, 0.751)
N (0.751, 0.751, 0.248)
N (0.752, 0.249, 0.249)

Peak list (8 most intense, 5° ≤ 2θ ≤ 70°, by angle)
- d = 3.582 Å, 24.86 deg, I 28
- d = 3.143 Å, 28.40 deg, I 100
- d = 3.118 Å, 28.63 deg, I 80
- d = 2.362 Å, 38.09 deg, I 18
- d = 2.214 Å, 40.76 deg, I 31
- d = 1.815 Å, 50.28 deg, I 21
- d = 1.810 Å, 50.42 deg, I 33
- d = 1.754 Å, 52.15 deg, I 27


9.
CeDy3As4: calculated XRD peak list (copper Kα), based on a crystal structure in Alexandria, relaxed with PBE.

Structure:
a b c (Å): 5.862 5.862 5.862
angles (deg): 90.00 90.00 90.00
Positions (direct):
Ce (0.000, 0.000, 0.000)
Dy (0.000, 0.500, 0.500)
Dy (0.500, 0.000, 0.500)
Dy (0.500, 0.500, 0.000)
As (0.000, 0.000, 0.500)
As (0.000, 0.500, 0.000)
As (0.500, 0.000, 0.000)
As (0.500, 0.500, 0.500)

Peak list (7 most intense, 5° ≤ 2θ ≤ 70°, by angle)
- d = 3.384 Å, 26.33 deg, I 21
- d = 2.931 Å, 30.50 deg, I 100
- d = 2.073 Å, 43.67 deg, I 75
- d = 1.767 Å, 51.72 deg, I 10
- d = 1.692 Å, 54.20 deg, I 26
- d = 1.465 Å, 63.48 deg, I 12
- d = 1.345 Å, 69.95 deg, I 4


10.
CaMg14ZnO16: calculated XRD peak list (copper Kα), based on a crystal structure in Alexandria, relaxed with PBE.

Structure:
a b c (Å): 4.329 8.581 8.620
angles (deg): 90.00 90.00 90.00
Positions (direct):
Ca (0.000, 0.000, 0.000)
Mg (0.000, 0.000, 0.500)
Mg (0.000, 0.254, 0.254)
Mg (0.000, 0.254, 0.746)
Mg (0.000, 0.500, 0.500)
Mg (0.000, 0.746, 0.254)
Mg (0.000, 0.746, 0.746)
Mg (0.500, 0.000, 0.256)
Mg (0.500, 0.000, 0.744)
Mg (0.500, 0.251, 0.500)
Mg (0.500, 0.256, 0.000)
Mg (0.500, 0.500, 0.251)
Mg (0.500, 0.500, 0.749)
Mg (0.500, 0.744, 0.000)
Mg (0.500, 0.749, 0.500)
Zn (0.000, 0.500, 0.000)
O (0.000, 0.000, 0.263)
O (0.000, 0.000, 0.737)
O (0.000, 0.252, 0.500)
O (0.000, 0.262, 0.000)
O (0.000, 0.500, 0.258)
O (0.000, 0.500, 0.742)
O (0.000, 0.738, 0.000)
O (0.000, 0.748, 0.500)
O (0.500, 0.000, 0.000)
O (0.500, 0.000, 0.500)
O (0.500, 0.250, 0.250)
O (0.500, 0.250, 0.750)
O (0.500, 0.500, 0.000)
O (0.500, 0.500, 0.500)
O (0.500, 0.750, 0.250)
O (0.500, 0.750, 0.750)

Peak list (8 most intense, 5° ≤ 2θ ≤ 70°, by angle)
- d = 8.609 Å, 10.28 deg, I 22
- d = 2.488 Å, 36.10 deg, I 51
- d = 2.165 Å, 41.73 deg, I 100
- d = 2.155 Å, 41.92 deg, I 98
- d = 2.145 Å, 42.12 deg, I 96
- d = 1.527 Å, 60.63 deg, I 56
- d = 1.524 Å, 60.79 deg, I 56
- d = 1.520 Å, 60.94 deg, I 55